# 1
The following is a theoretical powder diffractogram of Tm4NiGe8. It was derived from a crystal structure in Alexandria, relaxed with GGA-PBE, using Cu Kα X-rays.
Intensities are scaled so that the largest is 100.

Atomic structure:
```
data_Tm4NiGe8
_symmetry_space_group_name_H-M 'P m m 2'
_symmetry_Int_Tables_number 25
_cell_length_a 3.963
_cell_length_b 4.054
_cell_length_c 15.989
_cell_angle_alpha 90.00
_cell_angle_beta 90.00
_cell_angle_gamma 90.00
loop_
_symmetry_equiv_pos_as_xyz
'x,y,z'
'-x,-y,z'
'-x,y,z'
'x,-y,z'
loop_
_atom_site_label
_atom_site_fract_x
_atom_site_fract_y
_atom_site_fract_z
_atom_site_occupancy
Tm1 0.000 0.000 0.000 1
Tm2 0.000 0.500 0.494 1
Tm3 0.500 0.000 0.789 1
Tm4 0.500 0.500 0.288 1
Ni1 0.000 0.500 0.709 1
Ge1 0.000 0.000 0.334 1
Ge2 0.000 0.000 0.631 1
Ge3 0.000 0.500 0.141 1
Ge4 0.000 0.500 0.853 1
Ge5 0.500 0.000 0.147 1
Ge6 0.500 0.000 0.439 1
Ge7 0.500 0.500 0.630 1
Ge8 0.500 0.500 0.956 1
```

Peak list (10 most intense, 5 to 70 degrees two-theta, in order of rising 2θ)
25.08°, intensity 17.1, (1 0 2)
27.65°, intensity 9.5, (0 1 3)
33.63°, intensity 15.5, (0 0 6)
35.76°, intensity 19.6, (0 1 5)
35.89°, intensity 100.0, (1 1 3)
40.81°, intensity 15.7, (1 0 6)
44.71°, intensity 18.4, (0 2 0)
45.79°, intensity 17.5, (2 0 0)
59.42°, intensity 9.0, (2 1 5)
65.93°, intensity 11.6, (2 2 0)



# 2
The following is a theoretical powder diffractogram of TmNi5Ge. It was derived from a crystal structure in Alexandria, relaxed with GGA-PBE, using Cu Kα X-rays.
Intensities are scaled so that the largest is 100.

Atomic structure:
```
data_TmNi5Ge
_symmetry_space_group_name_H-M 'P n m a'
_symmetry_Int_Tables_number 62
_cell_length_a 7.807
_cell_length_b 4.853
_cell_length_c 9.807
_cell_angle_alpha 90.00
_cell_angle_beta 90.00
_cell_angle_gamma 90.00
loop_
_symmetry_equiv_pos_as_xyz
'x,y,z'
'-x,-y,-z'
'-x+1/2,-y,z+1/2'
'x+1/2,y,-z+1/2'
'x+1/2,-y+1/2,-z+1/2'
'-x+1/2,y+1/2,z+1/2'
'-x,y+1/2,-z'
'x,-y+1/2,z'
loop_
_atom_site_label
_atom_site_fract_x
_atom_site_fract_y
_atom_site_fract_z
_atom_site_occupancy
Tm1 0.248 0.250 0.058 1
Ni1 0.060 0.750 0.085 1
Ni2 0.063 0.006 0.302 1
Ni3 0.096 0.250 0.518 1
Ni4 0.187 0.250 0.756 1
Ge1 0.149 0.750 0.855 1
```

Peak list (10 most intense, 5 to 70 degrees two-theta, in order of rising 2θ)
37.05°, intensity 36.8, (0 2 0)
38.48°, intensity 58.5, (1 0 4)
40.39°, intensity 100.0, (3 1 1)
40.51°, intensity 81.7, (2 1 3)
41.52°, intensity 31.9, (0 2 2)
43.94°, intensity 31.3, (2 2 0)
44.95°, intensity 26.4, (2 2 1)
47.64°, intensity 26.3, (2 1 4)
48.13°, intensity 27.1, (1 2 3)
69.06°, intensity 34.2, (3 3 1)